Ca2Nd2Nb3FeO14: computed powder diffraction line list (Cu Kα, 1.54184 Å), based on the GGA+U geometry in Alexandria.
Peak positions follow from Bragg's law for the DFT cell and can differ from measured ones.

Principal peaks in the range 10° ≤ 2θ ≤ 80°, by intensity:
29.10°, rel. 100, (2 2 0)
34.01°, rel. 54, (4 0 0)
29.34°, rel. 49, (0 0 2)
29.83°, rel. 47, (4 0 -2)
48.56°, rel. 32, (2 2 2)
49.19°, rel. 31, (6 2 -2)
16.83°, rel. 22, (2 0 0)
57.75°, rel. 21, (4 0 2)
58.68°, rel. 20, (8 0 -2)
48.21°, rel. 16, (0 4 0)

Atomic structure:
```
data_Ca2Nd2Nb3FeO14
_chemical_formula_sum 'Ca4 Nd4 Nb6 Fe2 O28'
_cell_length_a 12.7543
_cell_length_b 7.5510
_cell_length_c 7.3710
_cell_angle_alpha 90.00
_cell_angle_beta 124.32
_cell_angle_gamma 90.00
_symmetry_space_group_name_H-M 'C 1 2/m 1'
_symmetry_Int_Tables_number 12
_symmetry_space_group_name_Hall '-C 2y'
loop_
_atom_site_label
_atom_site_fract_x
_atom_site_fract_y
_atom_site_fract_z
Ca1 0.0000 0.0000 0.0000
Ca2 0.0000 0.0000 0.5000
Nd1 0.2500 0.2500 0.0000
Nb1 0.0000 0.5000 0.0000
Nb2 0.2500 0.2500 0.5000
Fe1 0.0000 0.5000 0.5000
O1 0.0775 0.5000 0.8302
O2 0.1244 0.0000 0.8751
O3 0.1250 0.3042 0.1763
O4 0.1280 0.3026 0.5785
O5 0.1807 0.0000 0.4315
```